AlGeRu: simulated powder X-ray diffraction pattern (Cu Kα, 1.54184 Å), based on the GGA-PBE geometry in Alexandria.

Peak list (8 most intense, 2θ = 10–90°, most intense first)
2θ 25.13, rel. 1000; 2θ 41.82, rel. 899; 2θ 26.60, rel. 740; 2θ 34.14, rel. 597; 2θ 34.51, rel. 581; 2θ 42.02, rel. 498; 2θ 25.78, rel. 461; 2θ 51.59, rel. 409

Crystal structure
Cell lengths 7.827, 8.459, 12.975 Å; angles 90.00, 90.00, 90.00 degrees
Space group Fddd (No. 70, origin choice 2)
Inequivalent atoms, fractional coordinates:
Al 0.125 0.125 0.283 (multiplicity 16)
Ge 0.000 0.000 0.500 (multiplicity 16)
Ru 0.064 0.375 0.375 (multiplicity 16)